(1)
The following is a simulated powder diffraction line list of Cs2LiSnH6. It was derived from a crystal structure in Alexandria, relaxed with GGA-PBE, using Cu Kα, 1.54184 Å.
Lines closer than 0.1° are merged.

Peak list (12 most intense, 15 to 90 degrees two-theta, by intensity)
2θ (°), I/Imax
28.7, 100
28.9, 49
51.2, 40
17.5, 30
50.7, 21
41.4, 20
20.4, 14
59.5, 13
34.0, 12
81.8, 11
82.3, 11
82.7, 11

Cell and atoms:
```
10
Lattice="-3.085 3.085 4.430 3.085 -3.085 4.430 3.085 3.085 -4.430" Properties=species:S:1:pos:R:3 pbc="T T T"
Cs 3.085 0.000 2.215
Cs 0.000 3.085 2.215
Li 0.000 0.000 0.000
Sn 0.000 0.000 4.430
H 1.634 1.634 0.000
H 1.451 -1.451 4.430
H 0.000 0.000 2.382
H 0.000 0.000 6.478
H -1.451 1.451 4.430
H 1.451 1.451 4.430
```


(2)
The following is a simulated powder diffraction line list of Cs2Li3UH12. It was derived from a crystal structure in Alexandria, relaxed with GGA-PBE, using Cu Kα, 1.54184 Å.
Lines closer than 0.1° are merged.

Peak list (12 most intense, 15 to 90 degrees two-theta, by intensity)
2θ (°), I/Imax
23.6, 100
30.0, 91
18.3, 81
33.8, 32
45.7, 25
48.4, 24
41.5, 22
52.0, 21
41.7, 18
48.2, 16
68.6, 15
38.5, 14

Cell and atoms:
```
18
Lattice="3.772 2.178 4.830 -3.772 2.178 4.830 0.000 -4.356 4.830" Properties=species:S:1:pos:R:3 pbc="T T T"
Cs 0.000 0.000 1.758
Cs 0.000 0.000 12.732
Li -1.886 -1.089 4.830
Li -1.886 1.089 9.660
Li 0.000 2.178 4.830
U 0.000 0.000 7.245
H -1.721 -0.993 6.657
H 0.000 -1.336 5.541
H -1.157 0.668 5.541
H 0.000 -1.987 7.833
H -1.721 0.993 7.833
H -1.157 -0.668 8.949
H 1.157 0.668 5.541
H 1.721 -0.993 6.657
H 0.000 1.987 6.657
H 1.157 -0.668 8.949
H 0.000 1.336 8.949
H 1.721 0.993 7.833
```


(3)
The following is a simulated powder diffraction line list of Cs2LiZn2H6. It was derived from a crystal structure in Alexandria, relaxed with GGA-PBE, using Cu Kα, 1.54184 Å.
Lines closer than 0.1° are merged.

Peak list (12 most intense, 15 to 90 degrees two-theta, by intensity)
2θ (°), I/Imax
29.8, 100
30.6, 39
19.9, 26
15.0, 22
43.2, 22
30.4, 20
43.1, 18
26.4, 17
53.4, 16
55.9, 13
52.9, 13
30.3, 13

Cell and atoms:
```
11
Lattice="5.207 -2.993 0.000 5.207 2.993 0.000 -3.440 0.000 5.904" Properties=species:S:1:pos:R:3 pbc="T T T"
Cs 1.734 0.000 0.955
Cs 5.239 0.000 4.949
Li -1.720 0.000 2.952
Zn 1.772 0.000 4.547
Zn 5.201 0.000 1.358
H 0.144 0.000 4.147
H 2.589 1.413 4.164
H 4.384 1.413 1.740
H 2.589 -1.413 4.164
H 4.384 -1.413 1.740
H 6.829 0.000 1.757
```